The following is a simulated PXRD pattern of Fe2O3F. It was derived from a crystal structure in the Materials Project, relaxed with PBE+U, using Cu Kα.
Intensities are scaled so that the largest is 100.

Most intense lines, 5° ≤ 2θ ≤ 70°, in order of falling intensity:
| 2theta | d (Å) | I_rel |
| --- | --- | --- |
| 25.9 | 3.439 | 100 |
| 35.4 | 2.533 | 100 |
| 27.9 | 3.200 | 95 |
| 52.1 | 1.754 | 58 |
| 54.4 | 1.687 | 54 |
| 67.6 | 1.386 | 38 |
| 38.4 | 2.343 | 19 |
| 61.6 | 1.505 | 16 |
| 39.8 | 2.265 | 16 |
| 53.3 | 1.720 | 15 |

Crystal structure
Lattice parameters (Å, degrees): 4.6975 4.6975 12.0435 90.00 90.00 94.13
Atoms (fractional coordinates):
Fe 0.0000 0.0000 0.0000
Fe 0.0000 0.0000 0.5000
Fe 0.0120 0.9880 0.7500
Fe 0.4721 0.5279 0.6250
Fe 0.4721 0.5279 0.8750
Fe 0.5279 0.4721 0.1250
Fe 0.5279 0.4721 0.3750
Fe 0.9880 0.0120 0.2500
O 0.1808 0.8192 0.6215
O 0.1808 0.8192 0.8785
O 0.2961 0.3177 0.7500
O 0.3076 0.3076 0.0000
O 0.3076 0.3076 0.5000
O 0.3177 0.2961 0.2500
O 0.6823 0.7039 0.7500
O 0.6924 0.6924 0.0000
O 0.6924 0.6924 0.5000
O 0.7039 0.6823 0.2500
O 0.8192 0.1808 0.1215
O 0.8192 0.1808 0.3785
F 0.2011 0.7989 0.1266
F 0.2011 0.7989 0.3734
F 0.7989 0.2011 0.6266
F 0.7989 0.2011 0.8734